Calculated powder X-ray diffraction pattern of Nb8Ga2Ge3 for a wavelength of 1.5418 Å, from DFT lattice parameters and positions (GGA-PBE).
Lines closer than 0.1° are merged.

The 8 most intense peaks (10 to 80 degrees two-theta), most intense first:
hkl 2 4 1, d = 2.207 Å, 40.89 deg, intensity 100.0; hkl 1 5 1, d = 2.183 Å, 41.37 deg, intensity 77.1; hkl 0 0 2, d = 2.376 Å, 37.87 deg, intensity 65.2; hkl 3 1 0, d = 2.554 Å, 35.13 deg, intensity 38.3; hkl 5 5 1, d = 1.288 Å, 73.53 deg, intensity 29.3; hkl 2 0 1, d = 3.019 Å, 29.59 deg, intensity 24.5; hkl 3 1 2, d = 1.740 Å, 52.61 deg, intensity 23.6; hkl 2 4 3, d = 1.337 Å, 70.43 deg, intensity 22.0

Lattice parameters (Å, degrees): 7.817 12.942 4.752 90.00 90.00 90.00
Space group Cmmm (No. 65)
Unique sites:
Nb  0.000  0.103  0.000
Nb  0.000  0.326  0.000
Nb  0.197  0.390  0.500
Ga  0.000  0.216  0.500
Ge  0.000  0.000  0.500
Ge  0.191  0.500  0.000